Computed powder diffraction line list
Compound: CdIn6Hg9
Radiation: a wavelength of 1.5418 Å
Structure: a cell relaxed with PBE
Intensities are scaled so that the largest is 100.

Lattice parameters (Å, degrees): 7.1168 7.3912 8.5430 78.83 76.70 86.29
Fractional coordinates of all 16 atoms:
Cd1 0.0000 0.0000 0.0000
In1 0.1017 0.1956 0.5564
In2 0.1313 0.5761 0.1246
In3 0.3210 0.9592 0.1959
In4 0.6790 0.0408 0.8041
In5 0.8687 0.4239 0.8754
In6 0.8983 0.8044 0.4436
Hg1 0.1015 0.7718 0.7328
Hg2 0.3076 0.5637 0.4511
Hg3 0.3127 0.2824 0.8368
Hg4 0.4949 0.6731 0.8338
Hg5 0.5000 0.0000 0.5000
Hg6 0.5051 0.3269 0.1662
Hg7 0.6873 0.7176 0.1632
Hg8 0.6924 0.4363 0.5489
Hg9 0.8985 0.2282 0.2672

Top 6 peaks for 2θ from 10° to 80°, in order of falling intensity:
index  2θ/deg  intensity
1 2 -1  32.3  100
2 -1 2  34.1  87
-2 1 1  32.1  71
0 0 3  32.9  56
3 1 1  39.2  49
1 1 3  32.5  41



Computed powder diffraction line list
Compound: AlPb2Br
Radiation: a wavelength of 1.5418 Å
Structure: a cell relaxed with PBE
Intensities are scaled so that the largest is 100.

Lattice parameters (Å, degrees): 3.4251 5.4733 6.1791 90.00 90.00 90.00
Fractional coordinates of all 4 atoms:
Al1 0.0000 0.0000 0.0000
Pb1 0.0000 0.0000 0.5000
Pb2 0.5000 0.5000 0.0010
Br1 0.5000 0.5000 0.5012

Top 6 peaks for 2θ from 10° to 80°, in order of falling intensity:
index  2θ/deg  intensity
1 1 0  30.8  100
1 1 2  42.7  83
0 1 1  21.7  76
0 0 2  28.9  59
0 2 0  32.7  43
0 2 2  44.2  38



Computed powder diffraction line list
Compound: YTmAg4
Radiation: a wavelength of 1.5418 Å
Structure: a cell relaxed with PBE
Intensities are scaled so that the largest is 100.

Lattice parameters (Å, degrees): 9.9695 3.7003 7.4986 90.00 112.10 90.00
Fractional coordinates of all 12 atoms:
Y1 0.0000 0.0000 0.0000
Y2 0.5000 0.5000 0.0000
Tm1 0.0000 0.0000 0.5000
Tm2 0.5000 0.5000 0.5000
Ag1 0.1693 0.5000 0.3389
Ag2 0.1685 0.5000 0.8297
Ag3 0.3315 0.0000 0.1703
Ag4 0.3307 0.0000 0.6611
Ag5 0.6693 0.0000 0.3389
Ag6 0.6685 0.0000 0.8297
Ag7 0.8315 0.5000 0.1703
Ag8 0.8307 0.5000 0.6611

Top 6 peaks for 2θ from 10° to 80°, in order of falling intensity:
index  2θ/deg  intensity
1 1 -2  34.0  100
2 0 2  37.8  75
3 1 0  38.0  74
1 1 4  63.3  31
2 2 2  63.7  31
5 1 2  70.9  22